# 1
# Sc2Ga8Os
Simulated PXRD pattern, Cu Kα (weighted mean of Kα1 and Kα2). Input: a structure optimized by DFT (PBE).
Peak positions follow from Bragg's law for the DFT cell and can differ from measured ones.

Crystal structure
Cell: 4.2008 4.2008 10.9192 Å, 90.00 90.00 90.00°
Element x y z (fractional)
Sc 0.0000 0.0000 0.1891
Sc 0.0000 0.0000 0.8109
Ga 0.0000 0.5000 0.0000
Ga 0.0000 0.5000 0.3713
Ga 0.0000 0.5000 0.6287
Ga 0.5000 0.0000 0.0000
Ga 0.5000 0.0000 0.3713
Ga 0.5000 0.0000 0.6287
Ga 0.5000 0.5000 0.1876
Ga 0.5000 0.5000 0.8124
Os 0.0000 0.0000 0.5000

Top 10 peaks for 5 to 70 degrees two-theta, in order of rising 2θ:
2θ (°), I (rel.)
8.1, 359
16.2, 79
22.7, 295
26.8, 230
39.1, 1000
43.1, 474
45.1, 127
51.4, 80
62.5, 151
68.2, 91

# 2
# GaSn3Os
Simulated PXRD pattern, Cu Kα (weighted mean of Kα1 and Kα2). Input: a structure optimized by DFT (PBE).
Peak positions follow from Bragg's law for the DFT cell and can differ from measured ones.

Crystal structure
Cell: 5.1605 5.1605 5.1605 Å, 90.00 90.00 90.00°
Element x y z (fractional)
Ga 0.0000 0.0000 0.0000
Sn 0.0000 0.5000 0.5000
Sn 0.5000 0.0000 0.5000
Sn 0.5000 0.5000 0.0000
Os 0.5000 0.5000 0.5000

Top 10 peaks for 5 to 70 degrees two-theta, in order of rising 2θ:
2θ (°), I (rel.)
17.2, 777
24.4, 244
30.0, 321
34.8, 1000
39.0, 413
42.9, 108
50.0, 726
53.3, 216
59.4, 144
62.3, 253

# 3
# SrGaOs2
Simulated PXRD pattern, Cu Kα (weighted mean of Kα1 and Kα2). Input: a structure optimized by DFT (PBE).
Peak positions follow from Bragg's law for the DFT cell and can differ from measured ones.

Crystal structure
Cell: 9.4271 9.4271 9.4271 Å, 150.76 150.76 41.82°
Element x y z (fractional)
Sr 0.0000 0.0000 0.0000
Sr 0.7500 0.2500 0.5000
Ga 0.2500 0.7500 0.5000
Ga 0.5000 0.5000 0.0000
Os 0.3337 0.1250 0.7087
Os 0.3750 0.6663 0.7913
Os 0.4163 0.6250 0.2913
Os 0.8750 0.5837 0.2087

Top 10 peaks for 5 to 70 degrees two-theta, in order of rising 2θ:
2θ (°), I (rel.)
19.3, 1000
20.2, 343
24.1, 752
28.4, 492
31.6, 380
39.2, 711
41.0, 370
42.8, 413
49.3, 373
58.8, 424

# 4
# Tb3Ga3Os
Simulated PXRD pattern, Cu Kα (weighted mean of Kα1 and Kα2). Input: a structure optimized by DFT (PBE).
Peak positions follow from Bragg's law for the DFT cell and can differ from measured ones.

Crystal structure
Cell: 5.8950 5.8950 14.3707 Å, 108.02 108.02 41.58°
Element x y z (fractional)
Tb 0.0293 0.0293 0.3822
Tb 0.1098 0.1098 0.9222
Tb 0.2414 0.2414 0.2397
Tb 0.7586 0.7586 0.7603
Tb 0.8902 0.8902 0.0778
Tb 0.9707 0.9707 0.6178
Ga 0.3616 0.3616 0.4615
Ga 0.3922 0.3922 0.9246
Ga 0.4666 0.4666 0.7682
Ga 0.5334 0.5334 0.2318
Ga 0.6078 0.6078 0.0754
Ga 0.6384 0.6384 0.5385
Os 0.2636 0.2636 0.6056
Os 0.7364 0.7364 0.3944

Top 10 peaks for 5 to 70 degrees two-theta, in order of rising 2θ:
2θ (°), I (rel.)
6.5, 744
32.2, 1000
32.5, 697
32.8, 959
37.2, 485
39.3, 994
39.9, 323
43.2, 582
54.0, 295
63.1, 355

# 5
# Tb2Ga3Os
Simulated PXRD pattern, Cu Kα (weighted mean of Kα1 and Kα2). Input: a structure optimized by DFT (PBE).
Peak positions follow from Bragg's law for the DFT cell and can differ from measured ones.

Crystal structure
Cell: 5.3984 5.3984 5.3984 Å, 60.88 60.88 60.88°
Element x y z (fractional)
Tb 0.1272 0.1272 0.1272
Tb 0.8728 0.8728 0.8728
Ga 0.0000 0.5000 0.5000
Ga 0.5000 0.0000 0.5000
Ga 0.5000 0.5000 0.0000
Os 0.5000 0.5000 0.5000

Top 10 peaks for 5 to 70 degrees two-theta, in order of rising 2θ:
2θ (°), I (rel.)
20.3, 137
32.7, 598
38.6, 135
38.8, 1000
39.2, 438
40.5, 292
62.5, 248
62.8, 220
68.6, 200
69.7, 190

# 6
# TbThGaOs
Simulated PXRD pattern, Cu Kα (weighted mean of Kα1 and Kα2). Input: a structure optimized by DFT (PBE).
Peak positions follow from Bragg's law for the DFT cell and can differ from measured ones.

Crystal structure
Cell: 3.9639 6.0800 6.0800 Å, 40.19 90.00 90.00°
Element x y z (fractional)
Tb 0.0000 0.0000 0.0000
Th 0.5000 0.2769 0.2769
Ga 0.5000 0.5732 0.5732
Os 0.0000 0.7309 0.7309

Top 10 peaks for 5 to 70 degrees two-theta, in order of rising 2θ:
2θ (°), I (rel.)
15.5, 258
31.3, 331
31.8, 287
32.1, 1000
38.9, 178
39.3, 632
43.3, 233
45.8, 199
54.4, 143
64.9, 142